# Y5NiTe3
Calculated PXRD pattern, Cu Kα. Input: a crystal structure in OQMD, relaxed with PBE.
Kinematic intensities with the Lorentz-polarization factor, no thermal factor.

Structural model:
Unit cell a=8.2718 b=8.2718 c=4.0874 alpha=90.00 beta=90.00 gamma=120.00
Space group P-62m (No. 189)
Unique sites:
Y 0.0000 0.6747 0.0000 x3
Y 0.3333 0.6667 0.5000 x2
Ni 0.0000 0.0000 0.0000 x1
Te 0.0000 0.2662 0.5000 x3

Most intense lines, 5° ≤ 2θ ≤ 70°, in order of rising 2θ:
hkl  2θ (°)  Rel. int.
1 1 1  30.75  100
2 1 0  33.08  17
2 0 1  33.26  20
3 0 0  37.67  55
2 1 1  39.94  43
0 0 2  44.32  18
3 0 2  59.54  28
3 2 1  60.74  15